Diffraction record for LaYCd4. The powder XRD pattern is simulated, not measured: it uses a DFT-relaxed cell (GGA-PBE, Alexandria) and Cu Kα (weighted mean of Kα1 and Kα2).
Intensities are scaled so that the largest is 100.

Most intense lines, 2θ from 10° to 90°, most intense first:
(1 0 2), 32.73 deg, d = 2.736 Å, I = 100; (0 2 0), 35.52 deg, d = 2.527 Å, I = 90; (1 2 2), 49.07 deg, d = 1.856 Å, I = 31; (1 1 5), 62.03 deg, d = 1.496 Å, I = 30; (2 2 0), 64.73 deg, d = 1.440 Å, I = 30; (0 3 3), 63.79 deg, d = 1.459 Å, I = 15; (2 3 3), 86.87 deg, d = 1.121 Å, I = 13; (1 2 0), 44.18 deg, d = 2.050 Å, I = 11; (2 0 0), 52.20 deg, d = 1.752 Å, I = 10; (0 4 0), 75.19 deg, d = 1.264 Å, I = 9

Structural model:
```
data_LaYCd4
_chemical_formula_sum 'La1 Y1 Cd4'
_symmetry_space_group_name_H-M 'P m m m'
_symmetry_Int_Tables_number 47
_symmetry_space_group_name_Hall '-P 2 2'
_cell_length_a 3.505
_cell_length_b 5.051
_cell_length_c 8.760
_cell_angle_alpha 90.00
_cell_angle_beta 90.00
_cell_angle_gamma 90.00
loop_
_atom_site_label
_atom_site_fract_x
_atom_site_fract_y
_atom_site_fract_z
La1 0.000 0.000 0.000
Y1 0.000 0.500 0.500
Cd1 0.500 0.000 0.339
Cd2 0.500 0.500 0.173
```